# 1
This entry pairs a crystal structure of Pr3Hg2Rh with its simulated powder XRD pattern. Radiation: Cu Kα, 1.54184 Å. Structure: a crystal structure in Alexandria, relaxed with PBE.

Structure:
```
data_Pr3Hg2Rh
_space_group_name_H-M_alt 'P 1'
_space_group_IT_number 1
_space_group_name_Hall 'P 1'
_cell_length_a 5.269
_cell_length_b 7.638
_cell_length_c 8.391
_cell_angle_alpha 90.04
_cell_angle_beta 108.28
_cell_angle_gamma 90.00
loop_
_atom_site_label
_atom_site_fract_x
_atom_site_fract_y
_atom_site_fract_z
Pr1 0.000 0.239 0.000
Pr2 0.000 0.761 0.000
Pr3 0.327 0.225 0.652
Pr4 0.327 0.774 0.653
Pr5 0.673 0.226 0.347
Pr6 0.673 0.775 0.348
Hg1 0.164 0.500 0.333
Hg2 0.500 0.000 0.000
Hg3 0.500 0.500 0.000
Hg4 0.836 0.500 0.667
Rh1 0.138 0.000 0.299
Rh2 0.862 0.000 0.701
```

The 10 most intense peaks (2θ from 10° to 90°), in order of falling intensity:
2θ (°), intensity
33.53, 100
34.03, 25
33.75, 24
60.59, 18
48.68, 17
60.22, 13
81.12, 10
70.47, 10
59.82, 9
47.62, 9


# 2
This entry pairs a crystal structure of Pr4HgRh2 with its simulated powder XRD pattern. Radiation: Cu Kα, 1.54184 Å. Structure: a crystal structure in Alexandria, relaxed with PBE.

Structure:
```
data_Pr4HgRh2
_space_group_name_H-M_alt 'P 1'
_space_group_IT_number 1
_space_group_name_Hall 'P 1'
_cell_length_a 7.947
_cell_length_b 7.947
_cell_length_c 7.947
_cell_angle_alpha 108.58
_cell_angle_beta 108.58
_cell_angle_gamma 111.28
loop_
_atom_site_label
_atom_site_fract_x
_atom_site_fract_y
_atom_site_fract_z
Pr1 0.009 0.763 0.114
Pr2 0.101 0.487 0.746
Pr3 0.105 0.991 0.754
Pr4 0.237 0.351 0.246
Pr5 0.513 0.259 0.614
Pr6 0.645 0.899 0.386
Pr7 0.649 0.895 0.886
Pr8 0.741 0.355 0.254
Hg1 0.250 0.750 0.500
Hg2 0.500 0.500 0.000
Rh1 0.003 0.125 0.378
Rh2 0.375 0.997 0.122
Rh3 0.747 0.625 0.622
Rh4 0.875 0.253 0.878
```

The 10 most intense peaks (2θ from 10° to 90°), in order of falling intensity:
2θ (°), intensity
30.58, 100
31.43, 86
30.47, 68
36.32, 65
36.60, 64
50.21, 25
51.28, 24
27.67, 22
46.57, 19
61.69, 19


# 3
This entry pairs a crystal structure of PrHg5Rh with its simulated powder XRD pattern. Radiation: Cu Kα, 1.54184 Å. Structure: a crystal structure in Alexandria, relaxed with PBE.

Structure:
```
data_PrHg5Rh
_space_group_name_H-M_alt 'P 1'
_space_group_IT_number 1
_space_group_name_Hall 'P 1'
_cell_length_a 4.823
_cell_length_b 4.823
_cell_length_c 7.407
_cell_angle_alpha 90.00
_cell_angle_beta 90.00
_cell_angle_gamma 90.00
loop_
_atom_site_label
_atom_site_fract_x
_atom_site_fract_y
_atom_site_fract_z
Pr1 0.000 0.000 0.000
Hg1 0.000 0.500 0.299
Hg2 0.000 0.500 0.701
Hg3 0.500 0.000 0.299
Hg4 0.500 0.000 0.701
Hg5 0.500 0.500 0.000
Rh1 0.000 0.000 0.500
```

The 10 most intense peaks (2θ from 10° to 90°), in order of falling intensity:
2θ (°), intensity
35.79, 100
37.29, 58
66.27, 34
28.82, 33
53.09, 21
53.75, 20
36.39, 15
69.14, 14
26.13, 11
66.66, 11


# 4
This entry pairs a crystal structure of Pr3HgRu with its simulated powder XRD pattern. Radiation: Cu Kα, 1.54184 Å. Structure: a crystal structure in Alexandria, relaxed with PBE.

Structure:
```
data_Pr3HgRu
_space_group_name_H-M_alt 'P 1'
_space_group_IT_number 1
_space_group_name_Hall 'P 1'
_cell_length_a 5.907
_cell_length_b 6.457
_cell_length_c 8.795
_cell_angle_alpha 103.21
_cell_angle_beta 100.67
_cell_angle_gamma 114.23
loop_
_atom_site_label
_atom_site_fract_x
_atom_site_fract_y
_atom_site_fract_z
Pr1 0.068 0.196 0.278
Pr2 0.291 0.419 0.722
Pr3 0.304 0.804 0.108
Pr4 0.696 0.196 0.892
Pr5 0.709 0.581 0.278
Pr6 0.932 0.804 0.722
Hg1 0.329 0.765 0.500
Hg2 0.671 0.235 0.500
Ru1 0.248 0.248 0.996
Ru2 0.752 0.752 0.004
```

The 10 most intense peaks (2θ from 10° to 90°), in order of falling intensity:
2θ (°), intensity
34.71, 100
32.34, 72
30.81, 69
37.47, 49
27.92, 46
32.16, 44
35.10, 36
32.55, 34
54.86, 27
31.43, 26


# 5
This entry pairs a crystal structure of Pr5Hg2Ru with its simulated powder XRD pattern. Radiation: Cu Kα, 1.54184 Å. Structure: a crystal structure in Alexandria, relaxed with PBE.

Structure:
```
data_Pr5Hg2Ru
_space_group_name_H-M_alt 'P 1'
_space_group_IT_number 1
_space_group_name_Hall 'P 1'
_cell_length_a 8.128
_cell_length_b 12.160
_cell_length_c 4.870
_cell_angle_alpha 90.00
_cell_angle_beta 90.00
_cell_angle_gamma 90.00
loop_
_atom_site_label
_atom_site_fract_x
_atom_site_fract_y
_atom_site_fract_z
Pr1 0.000 0.000 0.000
Pr2 0.145 0.298 0.000
Pr3 0.182 0.574 0.500
Pr4 0.318 0.074 0.500
Pr5 0.355 0.798 0.000
Pr6 0.500 0.500 0.000
Pr7 0.645 0.202 0.000
Pr8 0.682 0.926 0.500
Pr9 0.818 0.426 0.500
Pr10 0.855 0.702 0.000
Hg1 0.073 0.833 0.500
Hg2 0.427 0.333 0.500
Hg3 0.573 0.667 0.500
Hg4 0.927 0.167 0.500
Ru1 0.000 0.500 0.000
Ru2 0.500 0.000 0.000
```

The 10 most intense peaks (2θ from 10° to 90°), in order of falling intensity:
2θ (°), intensity
29.56, 100
30.73, 70
32.25, 58
36.91, 53
31.42, 40
34.79, 32
49.24, 23
62.06, 22
50.97, 19
36.30, 16


# 6
This entry pairs a crystal structure of Pr6Hg2Ru with its simulated powder XRD pattern. Radiation: Cu Kα, 1.54184 Å. Structure: a crystal structure in Alexandria, relaxed with PBE.

Structure:
```
data_Pr6Hg2Ru
_space_group_name_H-M_alt 'P 1'
_space_group_IT_number 1
_space_group_name_Hall 'P 1'
_cell_length_a 3.929
_cell_length_b 8.997
_cell_length_c 8.997
_cell_angle_alpha 122.13
_cell_angle_beta 90.00
_cell_angle_gamma 90.00
loop_
_atom_site_label
_atom_site_fract_x
_atom_site_fract_y
_atom_site_fract_z
Pr1 0.000 0.000 0.000
Pr2 0.000 0.536 0.788
Pr3 0.000 0.788 0.536
Pr4 0.500 0.185 0.788
Pr5 0.500 0.372 0.372
Pr6 0.500 0.788 0.185
Hg1 0.000 0.121 0.448
Hg2 0.000 0.448 0.121
Ru1 0.500 0.731 0.731
```

The 10 most intense peaks (2θ from 10° to 90°), in order of falling intensity:
2θ (°), intensity
30.20, 100
32.74, 56
30.64, 47
31.34, 35
32.19, 32
56.87, 27
35.34, 26
34.16, 23
46.21, 23
38.41, 21


# 7
This entry pairs a crystal structure of Pr6HgS4 with its simulated powder XRD pattern. Radiation: Cu Kα, 1.54184 Å. Structure: a crystal structure in Alexandria, relaxed with PBE.

Structure:
```
data_Pr6HgS4
_space_group_name_H-M_alt 'P 1'
_space_group_IT_number 1
_space_group_name_Hall 'P 1'
_cell_length_a 7.159
_cell_length_b 7.159
_cell_length_c 21.142
_cell_angle_alpha 90.00
_cell_angle_beta 90.00
_cell_angle_gamma 146.52
loop_
_atom_site_label
_atom_site_fract_x
_atom_site_fract_y
_atom_site_fract_z
Pr1 0.000 0.000 0.000
Pr2 0.000 0.000 0.500
Pr3 0.166 0.834 0.750
Pr4 0.272 0.728 0.081
Pr5 0.272 0.728 0.419
Pr6 0.461 0.539 0.659
Pr7 0.461 0.539 0.841
Pr8 0.539 0.461 0.159
Pr9 0.539 0.461 0.341
Pr10 0.728 0.272 0.581
Pr11 0.728 0.272 0.919
Pr12 0.834 0.166 0.250
Hg1 0.158 0.842 0.250
Hg2 0.842 0.158 0.750
S1 0.095 0.905 0.623
S2 0.095 0.905 0.877
S3 0.364 0.636 0.540
S4 0.364 0.636 0.960
S5 0.636 0.364 0.040
S6 0.636 0.364 0.460
S7 0.905 0.095 0.123
S8 0.905 0.095 0.377
```

The 10 most intense peaks (2θ from 10° to 90°), in order of falling intensity:
2θ (°), intensity
30.39, 100
28.48, 83
28.21, 52
43.15, 38
31.87, 30
53.17, 29
43.90, 28
71.19, 24
29.48, 23
52.61, 21


# 8
This entry pairs a crystal structure of Pr7HgS5 with its simulated powder XRD pattern. Radiation: Cu Kα, 1.54184 Å. Structure: a crystal structure in Alexandria, relaxed with PBE.

Structure:
```
data_Pr7HgS5
_space_group_name_H-M_alt 'P 1'
_space_group_IT_number 1
_space_group_name_Hall 'P 1'
_cell_length_a 4.122
_cell_length_b 7.110
_cell_length_c 24.805
_cell_angle_alpha 89.99
_cell_angle_beta 90.00
_cell_angle_gamma 73.21
loop_
_atom_site_label
_atom_site_fract_x
_atom_site_fract_y
_atom_site_fract_z
Pr1 0.026 0.448 0.250
Pr2 0.135 0.229 0.964
Pr3 0.136 0.228 0.536
Pr4 0.322 0.857 0.328
Pr5 0.323 0.855 0.172
Pr6 0.411 0.679 0.894
Pr7 0.412 0.677 0.606
Pr8 0.588 0.323 0.394
Pr9 0.589 0.321 0.106
Pr10 0.677 0.145 0.828
Pr11 0.678 0.143 0.672
Pr12 0.864 0.772 0.464
Pr13 0.865 0.771 0.036
Pr14 0.974 0.552 0.750
Hg1 0.294 0.910 0.750
Hg2 0.706 0.090 0.250
S1 0.044 0.412 0.859
S2 0.044 0.413 0.641
S3 0.226 0.047 0.070
S4 0.227 0.046 0.430
S5 0.500 0.500 0.000
S6 0.500 0.500 0.500
S7 0.773 0.954 0.570
S8 0.774 0.953 0.930
S9 0.956 0.587 0.359
S10 0.956 0.588 0.141
```

The 10 most intense peaks (2θ from 10° to 90°), in order of falling intensity:
2θ (°), intensity
28.39, 100
30.16, 95
31.25, 72
28.91, 46
43.85, 45
53.13, 35
26.78, 35
43.93, 32
39.90, 22
71.58, 21


# 9
This entry pairs a crystal structure of Pr7Hg2Sb2 with its simulated powder XRD pattern. Radiation: Cu Kα, 1.54184 Å. Structure: a crystal structure in Alexandria, relaxed with PBE.

Structure:
```
data_Pr7Hg2Sb2
_space_group_name_H-M_alt 'P 1'
_space_group_IT_number 1
_space_group_name_Hall 'P 1'
_cell_length_a 7.410
_cell_length_b 7.410
_cell_length_c 7.171
_cell_angle_alpha 90.00
_cell_angle_beta 90.00
_cell_angle_gamma 100.12
loop_
_atom_site_label
_atom_site_fract_x
_atom_site_fract_y
_atom_site_fract_z
Pr1 0.000 0.000 0.000
Pr2 0.000 0.500 0.273
Pr3 0.000 0.500 0.727
Pr4 0.500 0.000 0.273
Pr5 0.500 0.000 0.727
Pr6 0.500 0.500 0.258
Pr7 0.500 0.500 0.742
Hg1 0.275 0.725 0.000
Hg2 0.725 0.275 0.000
Sb1 0.193 0.193 0.500
Sb2 0.807 0.807 0.500
```

The 10 most intense peaks (2θ from 10° to 90°), in order of falling intensity:
2θ (°), intensity
35.10, 100
22.43, 62
31.49, 52
35.75, 29
37.82, 27
39.01, 25
27.72, 24
19.94, 22
50.01, 21
58.42, 18


# 10
This entry pairs a crystal structure of Pr4Hg3Sb with its simulated powder XRD pattern. Radiation: Cu Kα, 1.54184 Å. Structure: a crystal structure in Alexandria, relaxed with PBE.

Structure:
```
data_Pr4Hg3Sb
_space_group_name_H-M_alt 'P 1'
_space_group_IT_number 1
_space_group_name_Hall 'P 1'
_cell_length_a 7.668
_cell_length_b 7.672
_cell_length_c 8.775
_cell_angle_alpha 90.00
_cell_angle_beta 115.80
_cell_angle_gamma 90.00
loop_
_atom_site_label
_atom_site_fract_x
_atom_site_fract_y
_atom_site_fract_z
Pr1 0.126 0.250 0.251
Pr2 0.126 0.750 0.251
Pr3 0.374 0.250 0.749
Pr4 0.374 0.750 0.749
Pr5 0.626 0.250 0.251
Pr6 0.626 0.750 0.251
Pr7 0.874 0.250 0.749
Pr8 0.874 0.750 0.749
Hg1 0.000 0.000 0.500
Hg2 0.243 0.000 0.986
Hg3 0.257 0.500 0.014
Hg4 0.500 0.500 0.500
Hg5 0.743 0.500 0.986
Hg6 0.757 0.000 0.014
Sb1 0.000 0.500 0.500
Sb2 0.500 0.000 0.500
```

The 10 most intense peaks (2θ from 10° to 90°), in order of falling intensity:
2θ (°), intensity
32.54, 100
33.03, 49
58.69, 37
57.75, 19
47.41, 18
45.95, 9
68.13, 9
78.94, 8
78.64, 6
76.48, 6


# 11
This entry pairs a crystal structure of PrTl2HgSb2 with its simulated powder XRD pattern. Radiation: Cu Kα, 1.54184 Å. Structure: a crystal structure in Alexandria, relaxed with PBE.

Structure:
```
data_PrTl2HgSb2
_space_group_name_H-M_alt 'P 1'
_space_group_IT_number 1
_space_group_name_Hall 'P 1'
_cell_length_a 4.606
_cell_length_b 10.555
_cell_length_c 7.665
_cell_angle_alpha 90.00
_cell_angle_beta 90.00
_cell_angle_gamma 90.00
loop_
_atom_site_label
_atom_site_fract_x
_atom_site_fract_y
_atom_site_fract_z
Pr1 0.000 0.075 0.000
Pr2 0.000 0.925 0.500
Tl1 0.000 0.331 0.354
Tl2 0.000 0.669 0.854
Tl3 0.500 0.454 0.069
Tl4 0.500 0.546 0.569
Hg1 0.500 0.178 0.682
Hg2 0.500 0.822 0.182
Sb1 0.000 0.334 0.780
Sb2 0.000 0.666 0.280
Sb3 0.500 0.093 0.299
Sb4 0.500 0.907 0.799
```

The 10 most intense peaks (2θ from 10° to 90°), in order of falling intensity:
2θ (°), intensity
31.53, 100
32.01, 79
28.23, 74
39.13, 60
30.34, 44
34.61, 31
53.76, 28
27.90, 27
36.17, 26
28.79, 26


# 12
This entry pairs a crystal structure of Pr4ScHg3 with its simulated powder XRD pattern. Radiation: Cu Kα, 1.54184 Å. Structure: a crystal structure in Alexandria, relaxed with PBE.

Structure:
```
data_Pr4ScHg3
_space_group_name_H-M_alt 'P 1'
_space_group_IT_number 1
_space_group_name_Hall 'P 1'
_cell_length_a 3.784
_cell_length_b 5.495
_cell_length_c 11.192
_cell_angle_alpha 90.00
_cell_angle_beta 90.00
_cell_angle_gamma 90.00
loop_
_atom_site_label
_atom_site_fract_x
_atom_site_fract_y
_atom_site_fract_z
Pr1 0.000 0.000 0.000
Pr2 0.000 0.000 0.500
Pr3 0.000 0.500 0.242
Pr4 0.000 0.500 0.758
Sc1 0.500 0.500 0.500
Hg1 0.500 0.000 0.261
Hg2 0.500 0.000 0.739
Hg3 0.500 0.500 0.000
```

The 10 most intense peaks (2θ from 10° to 90°), in order of falling intensity:
2θ (°), intensity
32.89, 100
31.99, 26
32.59, 26
58.35, 20
57.59, 19
46.31, 19
68.98, 12
59.30, 9
58.93, 9
48.09, 9


# 13
This entry pairs a crystal structure of Pr2ScHg4 with its simulated powder XRD pattern. Radiation: Cu Kα, 1.54184 Å. Structure: a crystal structure in Alexandria, relaxed with PBE.

Structure:
```
data_Pr2ScHg4
_space_group_name_H-M_alt 'P 1'
_space_group_IT_number 1
_space_group_name_Hall 'P 1'
_cell_length_a 10.234
_cell_length_b 10.234
_cell_length_c 10.234
_cell_angle_alpha 27.53
_cell_angle_beta 27.53
_cell_angle_gamma 27.53
loop_
_atom_site_label
_atom_site_fract_x
_atom_site_fract_y
_atom_site_fract_z
Pr1 0.247 0.247 0.247
Pr2 0.753 0.753 0.753
Sc1 0.000 0.000 0.000
Hg1 0.138 0.138 0.138
Hg2 0.363 0.363 0.363
Hg3 0.637 0.637 0.637
Hg4 0.862 0.862 0.862
```

The 10 most intense peaks (2θ from 10° to 90°), in order of falling intensity:
2θ (°), intensity
32.23, 100
36.92, 93
37.18, 45
24.31, 39
21.92, 35
49.81, 30
63.58, 29
69.05, 24
66.51, 17
66.68, 17